[1]
Starting from the PBE+U geometry in the Materials Project, the powder diffractogram of Li2Mn3B3O9 was simulated for Cu Ka.

Most intense lines, 10 to 80 degrees two-theta, in order of rising 2θ:
| 2θ/deg | d_spacing | I_rel |
| --- | --- | --- |
| 20.22 | 4.392 | 100 |
| 22.00 | 4.040 | 59 |
| 22.88 | 3.886 | 97 |
| 33.94 | 2.642 | 72 |
| 34.61 | 2.592 | 94 |
| 40.54 | 2.225 | 39 |

```
34
Lattice="5.237 0.000 0.000 0.257 7.871 0.000 2.327 2.501 9.078" Properties=species:S:1:pos:R:3 pbc="T T T"
Li 0.547 2.700 0.224
Li 2.394 8.495 2.876
Li 5.427 1.878 6.202
Li 7.274 7.673 8.854
Mn 2.021 3.265 4.553
Mn 2.964 2.815 7.608
Mn 4.636 6.632 7.485
Mn 3.185 3.740 1.593
Mn 4.857 7.557 1.470
Mn 5.800 7.108 4.525
B 2.006 5.519 6.659
B 3.157 8.389 5.524
B 2.290 6.501 0.489
B 5.531 3.872 8.589
B 4.664 1.983 3.554
B 5.815 4.853 2.419
O 2.585 6.301 7.635
O 2.247 1.668 6.036
O 0.957 6.705 0.028
O 2.588 4.314 6.261
O 1.820 4.508 2.954
O 2.547 7.603 4.608
O 2.835 7.387 1.370
O 4.855 5.016 9.022
O 3.346 2.232 3.141
O 4.475 8.141 5.937
O 2.966 5.356 0.055
O 4.986 2.986 7.708
O 5.274 2.769 4.470
O 6.001 5.864 6.124
O 5.233 6.058 2.817
O 6.864 3.668 9.050
O 5.574 8.704 3.041
O 5.236 4.072 1.443
```

[2]
Starting from the PBE+U geometry in the Materials Project, the powder diffractogram of Li2Mn3B3O9 was simulated for Cu Ka.

Most intense lines, 10 to 80 degrees two-theta, in order of rising 2θ:
| 2θ/deg | d_spacing | I_rel |
| --- | --- | --- |
| 20.15 | 4.407 | 100 |
| 21.88 | 4.062 | 56 |
| 22.78 | 3.903 | 80 |
| 34.00 | 2.636 | 39 |
| 34.45 | 2.604 | 94 |
| 40.65 | 2.220 | 38 |

```
34
Lattice="5.273 0.000 0.000 -0.054 5.857 0.000 -2.536 -0.419 12.187" Properties=species:S:1:pos:R:3 pbc="T T T"
Li 0.000 0.000 0.000
Li -0.889 3.948 7.731
Li 1.696 0.179 3.715
Li 1.739 1.972 11.774
Mn -0.164 2.808 5.238
Mn -0.783 2.952 10.588
Mn 2.479 4.792 1.284
Mn 1.844 5.049 6.530
Mn 2.555 0.719 9.253
Mn 4.383 1.339 2.499
B -0.840 -0.093 5.194
B -0.113 4.219 2.579
B 1.711 1.924 1.088
B -0.019 0.026 10.810
B 1.759 3.692 9.220
B 2.547 2.130 6.671
O -1.399 2.288 6.811
O 0.361 1.835 0.863
O -0.093 0.792 4.397
O -0.216 4.907 6.059
O -0.787 0.935 10.097
O -0.772 4.873 11.512
O 1.231 4.354 2.782
O 0.405 3.718 9.118
O 2.485 2.869 0.385
O 2.373 1.034 1.945
O 1.735 3.114 6.078
O 1.874 1.019 7.243
O 1.347 0.165 10.943
O 3.065 -0.148 5.045
O 2.550 4.546 8.419
O 2.423 2.820 10.092
O 4.487 5.083 1.690
O 4.454 3.263 3.292
```

[3]
Starting from the PBE+U geometry in the Materials Project, the powder diffractogram of Li2Mn3B3O9 was simulated for Cu Ka.

Most intense lines, 10 to 80 degrees two-theta, in order of rising 2θ:
| 2θ/deg | d_spacing | I_rel |
| --- | --- | --- |
| 20.22 | 4.391 | 100 |
| 22.00 | 4.041 | 57 |
| 22.87 | 3.888 | 81 |
| 33.97 | 2.639 | 70 |
| 34.54 | 2.597 | 93 |
| 40.55 | 2.225 | 38 |

```
34
Lattice="5.225 0.000 0.000 0.299 6.135 0.000 2.337 1.199 11.665" Properties=species:S:1:pos:R:3 pbc="T T T"
Li 0.572 2.667 1.175
Li 3.117 5.179 4.972
Li 4.745 2.155 6.692
Li 7.290 4.667 10.489
Mn 2.003 3.408 7.845
Mn 3.217 6.436 7.825
Mn 2.337 4.662 0.068
Mn 5.525 2.672 11.597
Mn 4.644 0.897 3.840
Mn 5.858 3.926 3.820
B 2.931 2.059 10.368
B 2.055 1.762 5.218
B 3.214 3.196 2.588
B 4.648 4.138 9.077
B 5.806 5.572 6.446
B 4.930 5.275 1.297
O 2.350 2.867 11.312
O 5.512 4.466 0.353
O 1.908 5.076 6.656
O 2.346 1.869 9.106
O 2.691 2.078 6.428
O 3.311 4.582 8.969
O 2.621 0.904 4.342
O 2.642 3.870 3.626
O 4.142 1.460 10.612
O 2.545 2.938 1.394
O 5.317 4.395 10.271
O 3.720 5.874 1.053
O 5.220 3.464 8.039
O 5.240 6.430 7.323
O 4.551 2.752 2.696
O 5.171 5.255 5.237
O 5.516 5.465 2.558
O 5.954 2.258 5.009
```

[4]
Starting from the PBE+U geometry in the Materials Project, the powder diffractogram of Li2Mn3B3O9 was simulated for Cu Ka.

Most intense lines, 10 to 80 degrees two-theta, in order of rising 2θ:
| 2θ/deg | d_spacing | I_rel |
| --- | --- | --- |
| 20.04 | 4.431 | 100 |
| 21.99 | 4.043 | 46 |
| 22.67 | 3.923 | 65 |
| 34.46 | 2.602 | 76 |
| 37.44 | 2.402 | 32 |
| 40.70 | 2.217 | 32 |

```
34
Lattice="5.856 0.000 0.000 -1.688 8.085 0.000 -1.955 -4.035 7.950" Properties=species:S:1:pos:R:3 pbc="T T T"
Li -0.039 1.849 0.829
Li 0.207 -1.816 4.463
Li 2.007 5.866 3.487
Li 2.252 2.201 7.121
Mn -1.068 0.666 3.777
Mn 1.266 -0.486 1.764
Mn 1.013 4.777 0.919
Mn 1.201 -0.727 7.031
Mn 0.947 4.537 6.186
Mn 3.281 3.384 4.173
B -1.745 -0.867 6.267
B -0.238 -3.347 6.924
B 0.310 3.339 3.438
B 1.904 0.711 4.512
B 2.451 7.397 1.026
B 3.958 4.917 1.683
O -2.019 5.071 3.051
O -2.790 3.896 6.224
O -0.903 5.609 0.965
O -0.626 2.647 4.217
O -0.803 -0.141 6.988
O 0.313 3.238 2.096
O 1.631 0.889 0.314
O 0.960 -0.086 3.821
O 0.707 -2.601 6.173
O 1.506 6.651 1.776
O 1.253 4.136 4.129
O 0.582 3.162 7.635
O 1.900 0.812 5.854
O 3.016 4.191 0.962
O 2.840 1.403 3.733
O 3.116 -1.558 6.985
O 5.003 0.155 1.726
O 4.232 -1.020 4.899
```

[5]
Starting from the PBE+U geometry in the Materials Project, the powder diffractogram of LiMn2B2O6 was simulated for Cu Ka.

Most intense lines, 10 to 80 degrees two-theta, in order of rising 2θ:
| 2θ/deg | d_spacing | I_rel |
| --- | --- | --- |
| 19.90 | 4.461 | 59 |
| 21.70 | 4.095 | 100 |
| 25.16 | 3.539 | 43 |
| 26.81 | 3.325 | 38 |
| 34.51 | 2.599 | 48 |
| 34.77 | 2.580 | 67 |

```
22
Lattice="2.679 -4.461 0.000 2.679 4.461 0.000 -0.756 0.000 10.320" Properties=species:S:1:pos:R:3 pbc="T T T"
Li 2.301 4.319 5.160
Li 2.679 -4.319 0.000
Mn 0.851 1.365 3.027
Mn 2.707 1.624 0.524
Mn 0.473 -1.365 8.187
Mn 2.329 -1.624 5.684
B 0.390 1.663 8.308
B 2.409 1.392 5.680
B 0.768 -1.663 3.148
B 2.787 -1.392 0.520
O -0.286 0.507 8.439
O 1.046 1.398 5.361
O 0.092 -0.507 3.280
O 1.629 1.879 8.935
O 2.998 2.631 6.035
O 2.908 1.697 2.449
O 1.424 -1.398 0.201
O 3.137 0.250 5.590
O 2.007 -1.879 3.775
O 3.515 -0.250 0.430
O 2.530 -1.697 7.609
O 3.376 -2.631 0.875
```

[6]
Starting from the PBE+U geometry in the Materials Project, the powder diffractogram of Li5Mn6B6O18 was simulated for Cu Ka.

Most intense lines, 10 to 80 degrees two-theta, in order of rising 2θ:
| 2θ/deg | d_spacing | I_rel |
| --- | --- | --- |
| 20.28 | 4.378 | 70 |
| 21.97 | 4.045 | 34 |
| 22.73 | 3.912 | 54 |
| 33.92 | 2.643 | 100 |
| 34.03 | 2.634 | 24 |
| 40.52 | 2.226 | 30 |

```
35
Lattice="5.269 0.000 0.000 -0.009 5.945 0.000 -2.411 -0.309 12.135" Properties=species:S:1:pos:R:3 pbc="T T T"
Li 0.000 0.000 0.000
Li -0.864 4.126 7.587
Li 0.155 1.761 8.039
Li 1.720 0.180 3.587
Li 1.823 2.044 11.659
Mn -0.028 2.857 5.092
Mn -0.740 3.136 10.517
Mn 2.539 4.829 1.202
Mn 1.892 5.146 6.400
Mn 2.722 0.679 9.225
Mn 4.374 1.356 2.425
B -0.816 -0.073 5.065
B -0.069 4.270 2.509
B 1.721 1.935 1.011
B 0.115 0.093 10.648
B 1.863 3.719 9.088
B 2.644 2.174 6.631
O -1.265 2.301 6.789
O 0.365 1.841 0.784
O -0.034 0.814 4.308
O -0.177 4.970 5.922
O -0.527 0.933 9.729
O -0.657 5.133 11.398
O 1.268 4.409 2.718
O 0.502 3.623 8.880
O 2.484 2.865 0.279
O 2.375 1.074 1.891
O 1.884 3.100 5.921
O 1.924 1.155 7.306
O 1.476 0.193 10.852
O 3.090 -0.057 4.927
O 2.635 4.627 8.349
O 2.508 2.869 9.991
O 4.526 5.155 1.642
O 4.490 3.298 3.199
```

[7]
Starting from the PBE+U geometry in the Materials Project, the powder diffractogram of Li2Mn3B3O9 was simulated for Cu Ka.

Most intense lines, 10 to 80 degrees two-theta, in order of rising 2θ:
| 2θ/deg | d_spacing | I_rel |
| --- | --- | --- |
| 20.01 | 4.437 | 100 |
| 21.90 | 4.059 | 46 |
| 22.55 | 3.943 | 65 |
| 33.90 | 2.644 | 33 |
| 34.30 | 2.614 | 98 |
| 40.82 | 2.211 | 28 |

```
34
Lattice="6.215 0.000 0.000 -1.301 7.676 0.000 -2.738 -3.564 7.921" Properties=species:S:1:pos:R:3 pbc="T T T"
Li 5.401 0.447 1.742
Li -3.226 3.665 6.179
Li -1.135 0.727 7.012
Li 3.311 3.385 0.909
Mn -2.007 4.527 3.467
Mn 0.527 3.414 1.880
Mn 1.938 0.569 0.994
Mn 0.238 3.543 6.927
Mn 1.648 0.698 6.040
Mn 4.182 -0.416 4.454
B -1.117 5.744 0.831
B -0.580 2.115 4.351
B -0.111 -1.750 6.255
B 2.286 5.862 1.666
B 2.756 1.997 3.570
B 3.292 -1.633 7.090
O -1.392 4.521 1.510
O 0.081 1.866 0.536
O -0.987 1.069 3.560
O -0.668 6.795 1.549
O -0.513 -1.603 4.917
O -0.406 3.398 3.779
O -0.295 -2.999 6.827
O -0.235 1.919 5.679
O 1.798 4.795 0.952
O 0.377 -0.684 6.969
O 2.410 2.193 2.241
O 2.470 7.111 1.094
O 2.581 0.714 4.142
O 2.688 5.715 3.004
O 2.844 -2.684 6.372
O 3.162 3.042 4.360
O 2.094 2.246 7.384
O 3.567 -0.410 6.411
```